# Ac2LaPmS4
Simulated X-ray diffraction stick pattern, Cu Kα (weighted mean of Kα1 and Kα2). Input: a cell relaxed with PBE.

The 6 most intense peaks (5° ≤ 2θ ≤ 70°), low angle first:
- 2θ 25.8, 3.455 Å, rel. 23
- 2θ 26.0, 3.433 Å, rel. 22
- 2θ 26.1, 3.415 Å, rel. 44
- 2θ 30.1, 2.970 Å, rel. 100
- 2θ 43.0, 2.106 Å, rel. 25
- 2θ 43.2, 2.096 Å, rel. 25

Structural model:
```
Ac2LaPmS4
1.0
7.272 0.000 0.000
0.000 4.172 0.000
-2.407 0.000 6.910
Ac La Pm S
2 1 1 4
Direct
0.000 0.000 0.000
0.500 0.500 0.000
0.000 0.500 0.500
0.500 0.000 0.500
0.249 0.000 0.737
0.259 0.500 0.266
0.741 0.500 0.734
0.751 0.000 0.263
```